Record 1
Diffraction record for HoFe3Ge2. The powder diffraction line list is simulated, not measured: it uses a structure optimized by DFT (PBE) and Cu Kα, 1.54184 Å.
Kinematic intensities with the Lorentz-polarization factor, no thermal factor.

Largest 8 diffraction maxima, by angle, 10 to 90 degrees two-theta:
| Position (°2θ) | intensity |
| --- | --- |
| 30.8 | 53.6 |
| 34.5 | 48.4 |
| 37.4 | 100.0 |
| 38.4 | 36.4 |
| 40.5 | 79.6 |
| 46.0 | 40.3 |
| 47.2 | 62.7 |
| 50.3 | 32.6 |

Cell and atoms:
Cell lengths 7.6591, 7.6591, 7.2173 Å; angles 115.29, 115.29, 29.12 degrees
Atoms (fractional coordinates):
Ho (0.1458, 0.1458, 0.0584)
Ho (0.8542, 0.8542, 0.9416)
Fe (0.0421, 0.0421, 0.3968)
Fe (0.3076, 0.3076, 0.5317)
Fe (0.4185, 0.4185, 0.3598)
Fe (0.5815, 0.5815, 0.6402)
Fe (0.6924, 0.6924, 0.4683)
Fe (0.9579, 0.9579, 0.6032)
Ge (0.1965, 0.1965, 0.7025)
Ge (0.4762, 0.4762, 0.8104)
Ge (0.5238, 0.5238, 0.1896)
Ge (0.8035, 0.8035, 0.2975)

---

Record 2
Diffraction record for Tb2ErCu9. The powder diffraction line list is simulated, not measured: it uses a structure optimized by DFT (PBE) and Cu Kα, 1.54184 Å.
Kinematic intensities with the Lorentz-polarization factor, no thermal factor.

Largest 8 diffraction maxima, by angle, 10 to 90 degrees two-theta:
| Position (°2θ) | intensity |
| --- | --- |
| 32.1 | 44.0 |
| 34.9 | 46.1 |
| 35.0 | 32.4 |
| 40.7 | 34.7 |
| 41.2 | 100.0 |
| 62.7 | 20.3 |
| 66.9 | 21.3 |
| 73.7 | 19.5 |

Cell and atoms:
Cell lengths 8.8657, 8.8657, 8.8657 Å; angles 33.70, 33.70, 33.70 degrees
Atoms (fractional coordinates):
Tb (0.1406, 0.1406, 0.1406)
Tb (0.8594, 0.8594, 0.8594)
Er (0.0000, 0.0000, 0.0000)
Cu (0.0818, 0.5813, 0.5813)
Cu (0.3324, 0.3324, 0.3324)
Cu (0.4187, 0.4187, 0.9182)
Cu (0.4187, 0.9182, 0.4187)
Cu (0.5000, 0.5000, 0.5000)
Cu (0.5813, 0.0818, 0.5813)
Cu (0.5813, 0.5813, 0.0818)
Cu (0.6676, 0.6676, 0.6676)
Cu (0.9182, 0.4187, 0.4187)

---

Record 3
Diffraction record for ErAlPt. The powder diffraction line list is simulated, not measured: it uses a structure optimized by DFT (PBE) and Cu Kα, 1.54184 Å.
Kinematic intensities with the Lorentz-polarization factor, no thermal factor.

Largest 8 diffraction maxima, by angle, 10 to 90 degrees two-theta:
| Position (°2θ) | intensity |
| --- | --- |
| 25.8 | 78.1 |
| 34.0 | 53.3 |
| 34.2 | 79.8 |
| 36.4 | 98.6 |
| 36.8 | 72.0 |
| 37.0 | 98.1 |
| 42.5 | 100.0 |
| 44.9 | 49.5 |

Cell and atoms:
Cell lengths 6.9826, 4.2559, 11.8185 Å; angles 90.00, 90.93, 90.00 degrees
Atoms (fractional coordinates):
Er (0.0277, 0.2500, 0.3752)
Er (0.1530, 0.2500, 0.0815)
Er (0.4692, 0.7500, 0.7090)
Er (0.5308, 0.2500, 0.2910)
Er (0.8470, 0.7500, 0.9185)
Er (0.9723, 0.7500, 0.6248)
Al (0.1400, 0.2500, 0.7961)
Al (0.3534, 0.7500, 0.4569)
Al (0.4961, 0.7500, 0.0841)
Al (0.5039, 0.2500, 0.9159)
Al (0.6466, 0.2500, 0.5431)
Al (0.8600, 0.7500, 0.2039)
Pt (0.2381, 0.7500, 0.2447)
Pt (0.2681, 0.7500, 0.9095)
Pt (0.2716, 0.2500, 0.5749)
Pt (0.7284, 0.7500, 0.4251)
Pt (0.7319, 0.2500, 0.0905)
Pt (0.7619, 0.2500, 0.7553)

---

Record 4
Diffraction record for NdY2Tm8. The powder diffraction line list is simulated, not measured: it uses a structure optimized by DFT (PBE) and Cu Kα, 1.54184 Å.
Kinematic intensities with the Lorentz-polarization factor, no thermal factor.

Largest 8 diffraction maxima, by angle, 10 to 90 degrees two-theta:
| Position (°2θ) | intensity |
| --- | --- |
| 31.1 | 100.0 |
| 36.1 | 50.5 |
| 51.9 | 35.8 |
| 61.8 | 42.4 |
| 64.9 | 12.2 |
| 84.9 | 17.7 |
| 87.6 | 11.1 |
| 87.7 | 5.5 |

Cell and atoms:
Cell lengths 9.3210, 9.3210, 7.8797 Å; angles 104.71, 104.71, 30.96 degrees
Atoms (fractional coordinates):
Nd (0.0000, 0.0000, 0.0000)
Y (0.2724, 0.2724, 0.3627)
Y (0.7276, 0.7276, 0.6373)
Tm (0.0903, 0.0903, 0.4558)
Tm (0.1818, 0.1818, 0.9077)
Tm (0.3633, 0.3633, 0.8191)
Tm (0.4549, 0.4549, 0.2743)
Tm (0.5451, 0.5451, 0.7257)
Tm (0.6367, 0.6367, 0.1809)
Tm (0.8182, 0.8182, 0.0923)
Tm (0.9097, 0.9097, 0.5442)

---

Record 5
Diffraction record for CuPt. The powder diffraction line list is simulated, not measured: it uses a structure optimized by DFT (PBE) and Cu Kα, 1.54184 Å.
Kinematic intensities with the Lorentz-polarization factor, no thermal factor.

Largest 8 diffraction maxima, by angle, 10 to 90 degrees two-theta:
| Position (°2θ) | intensity |
| --- | --- |
| 21.8 | 83.1 |
| 38.1 | 53.9 |
| 40.6 | 82.1 |
| 43.3 | 100.0 |
| 43.5 | 97.1 |
| 44.2 | 51.2 |
| 44.5 | 50.6 |
| 84.9 | 34.7 |

Cell and atoms:
Cell lengths 5.1697, 5.1697, 4.5983 Å; angles 115.88, 115.88, 30.86 degrees
Atoms (fractional coordinates):
Cu (0.1237, 0.1237, 0.2876)
Cu (0.8763, 0.8763, 0.7124)
Pt (0.3738, 0.3738, 0.2123)
Pt (0.6262, 0.6262, 0.7877)

---

Record 6
Diffraction record for La6Ru2RhAu. The powder diffraction line list is simulated, not measured: it uses a structure optimized by DFT (PBE) and Cu Kα, 1.54184 Å.
Kinematic intensities with the Lorentz-polarization factor, no thermal factor.

Largest 8 diffraction maxima, by angle, 10 to 90 degrees two-theta:
| Position (°2θ) | intensity |
| --- | --- |
| 16.7 | 22.5 |
| 28.0 | 100.0 |
| 36.7 | 81.5 |
| 43.1 | 34.6 |
| 43.1 | 17.3 |
| 48.2 | 21.6 |
| 57.8 | 14.7 |
| 72.6 | 21.2 |

Cell and atoms:
Cell lengths 7.2629, 7.2754, 7.8498 Å; angles 90.10, 117.53, 119.91 degrees
Atoms (fractional coordinates):
La (0.0000, 0.0000, 0.0000)
La (0.0016, 0.8125, 0.4849)
La (0.3060, 0.4790, 0.4842)
La (0.3458, 0.6364, 0.9994)
La (0.6359, 0.2893, 0.9998)
La (0.6398, 0.1178, 0.4847)
Ru (0.4893, 0.8896, 0.7444)
Ru (0.4970, 0.3935, 0.2553)
Rh (0.8188, 0.0541, 0.2383)
Au (0.8204, 0.5553, 0.7415)

---

Record 7
Diffraction record for CrGeTe. The powder diffraction line list is simulated, not measured: it uses a structure optimized by DFT (PBE) and Cu Kα, 1.54184 Å.
Kinematic intensities with the Lorentz-polarization factor, no thermal factor.

Largest 8 diffraction maxima, by angle, 10 to 90 degrees two-theta:
| Position (°2θ) | intensity |
| --- | --- |
| 30.0 | 22.6 |
| 31.5 | 92.4 |
| 34.1 | 35.5 |
| 38.2 | 100.0 |
| 43.4 | 65.4 |
| 54.3 | 49.4 |
| 63.3 | 41.9 |
| 88.8 | 18.5 |

Cell and atoms:
Cell lengths 3.3805, 3.3805, 11.9023 Å; angles 90.00, 90.00, 120.00 degrees
Atoms (fractional coordinates):
Cr (0.0000, 0.0000, 0.0000)
Cr (0.0000, 0.0000, 0.5000)
Ge (0.6667, 0.3333, 0.1269)
Ge (0.6667, 0.3333, 0.8731)
Te (0.3333, 0.6667, 0.3533)
Te (0.3333, 0.6667, 0.6467)

---

Record 8
Diffraction record for ReIr6Rh3. The powder diffraction line list is simulated, not measured: it uses a structure optimized by DFT (PBE) and Cu Kα, 1.54184 Å.
Kinematic intensities with the Lorentz-polarization factor, no thermal factor.

Largest 8 diffraction maxima, by angle, 10 to 90 degrees two-theta:
| Position (°2θ) | intensity |
| --- | --- |
| 21.4 | 28.6 |
| 39.7 | 100.0 |
| 43.7 | 29.0 |
| 44.1 | 88.1 |
| 50.8 | 41.4 |
| 68.8 | 25.9 |
| 80.5 | 17.1 |
| 85.1 | 24.6 |

Cell and atoms:
Cell lengths 4.7268, 4.7268, 8.2900 Å; angles 90.00, 90.00, 120.00 degrees
Atoms (fractional coordinates):
Re (0.0000, 0.0000, 0.0000)
Ir (0.0000, 0.3529, 0.7709)
Ir (0.0000, 0.6471, 0.2291)
Ir (0.3529, 0.0000, 0.7709)
Ir (0.3529, 0.3529, 0.2291)
Ir (0.6471, 0.0000, 0.2291)
Ir (0.6471, 0.6471, 0.7709)
Rh (0.0000, 0.0000, 0.5000)
Rh (0.3333, 0.6667, 0.5000)
Rh (0.6667, 0.3333, 0.5000)